No. 1
This entry pairs a crystal structure of HfIrSe with its computed powder X-ray diffraction pattern. Radiation: CuKα. Structure: a GGA-PBE-relaxed structure.

Atomic structure:
```
data_HfIrSe
_chemical_formula_sum 'Hf6 Ir6 Se6'
_cell_length_a 4.1664
_cell_length_b 4.1664
_cell_length_c 29.0309
_cell_angle_alpha 90.00
_cell_angle_beta 90.00
_cell_angle_gamma 120.00
_symmetry_space_group_name_H-M 'R -3 m'
_symmetry_Int_Tables_number 166
_symmetry_space_group_name_Hall '-R 3 2"'
loop_
_atom_site_label
_atom_site_type_symbol
_atom_site_fract_x
_atom_site_fract_y
_atom_site_fract_z
Hf1 Hf 0.0000 0.0000 0.0606
Ir1 Ir 0.0000 0.0000 0.3342
Se1 Se 0.0000 0.0000 0.2252
```

Principal peaks in the range 15° ≤ 2θ ≤ 90°, in order of rising 2θ:
Position (°2θ)  d (Å)  I_rel
32.90  2.722  100
35.07  2.559  44
39.86  2.262  33
43.44  2.083  86
44.49  2.037  42
74.36  1.276  41

=====

No. 2
This entry pairs a crystal structure of Hf4Si6Ir7 with its computed powder X-ray diffraction pattern. Radiation: CuKα. Structure: a GGA-PBE-relaxed structure.

Atomic structure:
```
data_Hf4Si6Ir7
_chemical_formula_sum 'Hf8 Si12 Ir14'
_cell_length_a 8.071
_cell_length_b 8.071
_cell_length_c 8.071
_cell_angle_alpha 90.00
_cell_angle_beta 90.00
_cell_angle_gamma 90.00
_symmetry_space_group_name_H-M 'I m -3 m'
_symmetry_Int_Tables_number 229
_symmetry_space_group_name_Hall '-I 4 2 3'
loop_
_atom_site_label
_atom_site_type_symbol
_atom_site_fract_x
_atom_site_fract_y
_atom_site_fract_z
Hf1 Hf 0.250 0.250 0.250
Si1 Si 0.000 0.000 0.318
Ir1 Ir 0.000 0.000 0.000
Ir2 Ir 0.000 0.250 0.500
```

Principal peaks in the range 15° ≤ 2θ ≤ 90°, in order of rising 2θ:
Position (°2θ)  d (Å)  I_rel
27.06  3.295  56
38.64  2.330  100
41.88  2.157  49
44.92  2.018  72
65.41  1.427  45
78.63  1.217  35

=====

No. 3
This entry pairs a crystal structure of HfTh2Si3Ir4 with its computed powder X-ray diffraction pattern. Radiation: CuKα. Structure: a GGA-PBE-relaxed structure.

Atomic structure:
```
data_HfTh2Si3Ir4
_chemical_formula_sum 'Hf1 Th2 Si3 Ir4'
_cell_length_a 4.142
_cell_length_b 4.142
_cell_length_c 10.771
_cell_angle_alpha 90.00
_cell_angle_beta 90.00
_cell_angle_gamma 90.00
_symmetry_space_group_name_H-M 'P -4 m 2'
_symmetry_Int_Tables_number 115
_symmetry_space_group_name_Hall 'P -4 -2'
loop_
_atom_site_label
_atom_site_type_symbol
_atom_site_fract_x
_atom_site_fract_y
_atom_site_fract_z
Hf1 Hf 0.000 0.000 0.000
Th1 Th 0.000 0.500 0.735
Si1 Si 0.000 0.500 0.376
Si2 Si 0.500 0.500 0.000
Ir1 Ir 0.000 0.000 0.500
Ir2 Ir 0.000 0.500 0.150
Ir3 Ir 0.500 0.500 0.500
```

Principal peaks in the range 15° ≤ 2θ ≤ 90°, in order of rising 2θ:
Position (°2θ)  d (Å)  I_rel
27.16  3.283  25
33.02  2.713  33
34.87  2.573  100
43.70  2.071  45
47.58  1.911  22
74.55  1.273  23

=====

No. 4
This entry pairs a crystal structure of Hf4SnIr2 with its computed powder X-ray diffraction pattern. Radiation: CuKα. Structure: a GGA-PBE-relaxed structure.

Atomic structure:
```
data_Hf4SnIr2
_chemical_formula_sum 'Hf12 Sn3 Ir6'
_cell_length_a 4.3733
_cell_length_b 4.3733
_cell_length_c 28.4723
_cell_angle_alpha 90.00
_cell_angle_beta 90.00
_cell_angle_gamma 120.00
_symmetry_space_group_name_H-M 'R -3 m'
_symmetry_Int_Tables_number 166
_symmetry_space_group_name_Hall '-R 3 2"'
loop_
_atom_site_label
_atom_site_type_symbol
_atom_site_fract_x
_atom_site_fract_y
_atom_site_fract_z
Hf1 Hf 0.0000 0.0000 0.1073
Hf2 Hf 0.0000 0.0000 0.3007
Sn1 Sn 0.0000 0.0000 0.5000
Ir1 Ir 0.0000 0.0000 0.3979
```

Principal peaks in the range 15° ≤ 2θ ≤ 90°, in order of rising 2θ:
Position (°2θ)  d (Å)  I_rel
26.66  3.344  35
28.29  3.154  37
39.60  2.276  100
41.29  2.187  95
58.54  1.577  32
74.14  1.279  33

=====

No. 5
This entry pairs a crystal structure of HfUTcIr with its computed powder X-ray diffraction pattern. Radiation: CuKα. Structure: a GGA-PBE-relaxed structure.

Atomic structure:
```
data_HfUTcIr
_chemical_formula_sum 'Hf4 U4 Tc4 Ir4'
_cell_length_a 6.679
_cell_length_b 6.679
_cell_length_c 6.679
_cell_angle_alpha 90.00
_cell_angle_beta 90.00
_cell_angle_gamma 90.00
_symmetry_space_group_name_H-M 'F -4 3 m'
_symmetry_Int_Tables_number 216
_symmetry_space_group_name_Hall 'F -4 2 3'
loop_
_atom_site_label
_atom_site_type_symbol
_atom_site_fract_x
_atom_site_fract_y
_atom_site_fract_z
Hf1 Hf 0.000 0.000 0.000
U1 U 0.000 0.000 0.500
Tc1 Tc 0.250 0.250 0.750
Ir1 Ir 0.250 0.250 0.250
```

Principal peaks in the range 15° ≤ 2θ ≤ 90°, in order of rising 2θ:
Position (°2θ)  d (Å)  I_rel
23.06  3.856  5
26.69  3.340  3
38.11  2.361  100
54.99  1.670  18
68.87  1.363  36
81.53  1.181  12

=====

No. 6
This entry pairs a crystal structure of HfTh2TiIr2 with its computed powder X-ray diffraction pattern. Radiation: CuKα. Structure: a GGA-PBE-relaxed structure.

Atomic structure:
```
data_HfTh2TiIr2
_chemical_formula_sum 'Hf4 Th8 Ti4 Ir8'
_cell_length_a 6.368
_cell_length_b 13.706
_cell_length_c 6.357
_cell_angle_alpha 90.00
_cell_angle_beta 90.00
_cell_angle_gamma 90.00
_symmetry_space_group_name_H-M 'I b a m'
_symmetry_Int_Tables_number 72
_symmetry_space_group_name_Hall '-I 2 2c'
loop_
_atom_site_label
_atom_site_type_symbol
_atom_site_fract_x
_atom_site_fract_y
_atom_site_fract_z
Hf1 Hf 0.000 0.000 0.250
Th1 Th 0.220 0.316 0.000
Ti1 Ti 0.000 0.500 0.250
Ir1 Ir 0.233 0.397 0.500
```

Principal peaks in the range 15° ≤ 2θ ≤ 90°, in order of rising 2θ:
Position (°2θ)  d (Å)  I_rel
28.05  3.181  62
30.99  2.885  48
32.86  2.726  100
38.62  2.331  54
40.08  2.250  73
52.76  1.735  48

=====

No. 7
This entry pairs a crystal structure of Hf6TiIr with its computed powder X-ray diffraction pattern. Radiation: CuKα. Structure: a GGA-PBE-relaxed structure.

Atomic structure:
```
data_Hf6TiIr
_chemical_formula_sum 'Hf12 Ti2 Ir2'
_cell_length_a 5.736
_cell_length_b 9.981
_cell_length_c 5.832
_cell_angle_alpha 90.00
_cell_angle_beta 90.00
_cell_angle_gamma 90.00
_symmetry_space_group_name_H-M 'C 1 2/m 1'
_symmetry_Int_Tables_number 12
_symmetry_space_group_name_Hall '-C 2y'
loop_
_atom_site_label
_atom_site_type_symbol
_atom_site_fract_x
_atom_site_fract_y
_atom_site_fract_z
Hf1 Hf 0.089 0.000 0.247
Hf2 Hf 0.201 0.295 0.248
Ti1 Ti 0.000 0.500 0.500
Ir1 Ir 0.000 0.500 0.000
```

Principal peaks in the range 15° ≤ 2θ ≤ 90°, in order of rising 2θ:
Position (°2θ)  d (Å)  I_rel
30.66  2.916  34
34.79  2.579  100
35.68  2.516  46
36.12  2.487  50
44.24  2.047  53
57.21  1.610  28

=====

No. 8
This entry pairs a crystal structure of Tm5HfIr6 with its computed powder X-ray diffraction pattern. Radiation: CuKα. Structure: a GGA-PBE-relaxed structure.

Atomic structure:
```
data_Tm5HfIr6
_chemical_formula_sum 'Tm10 Hf2 Ir12'
_cell_length_a 4.662
_cell_length_b 13.998
_cell_length_c 6.989
_cell_angle_alpha 90.00
_cell_angle_beta 90.00
_cell_angle_gamma 90.00
_symmetry_space_group_name_H-M 'C m m m'
_symmetry_Int_Tables_number 65
_symmetry_space_group_name_Hall '-C 2 2'
loop_
_atom_site_label
_atom_site_type_symbol
_atom_site_fract_x
_atom_site_fract_y
_atom_site_fract_z
Tm1 Tm 0.000 0.000 0.000
Tm2 Tm 0.000 0.332 0.500
Tm3 Tm 0.000 0.334 0.000
Hf1 Hf 0.000 0.000 0.500
Ir1 Ir 0.000 0.162 0.255
Ir2 Ir 0.000 0.500 0.264
```

Principal peaks in the range 15° ≤ 2θ ≤ 90°, in order of rising 2θ:
Position (°2θ)  d (Å)  I_rel
37.50  2.398  100
38.61  2.332  46
55.75  1.649  16
66.92  1.398  18
69.13  1.359  33
80.01  1.199  11

=====

No. 9
This entry pairs a crystal structure of Hf2V3Ir with its computed powder X-ray diffraction pattern. Radiation: CuKα. Structure: a GGA-PBE-relaxed structure.

Atomic structure:
```
data_Hf2V3Ir
_chemical_formula_sum 'Hf6 V9 Ir3'
_cell_length_a 5.1495
_cell_length_b 5.1495
_cell_length_c 12.8258
_cell_angle_alpha 90.00
_cell_angle_beta 90.00
_cell_angle_gamma 120.00
_symmetry_space_group_name_H-M 'R -3 m'
_symmetry_Int_Tables_number 166
_symmetry_space_group_name_Hall '-R 3 2"'
loop_
_atom_site_label
_atom_site_type_symbol
_atom_site_fract_x
_atom_site_fract_y
_atom_site_fract_z
Hf1 Hf 0.0000 0.0000 0.1251
V1 V 0.0000 0.5000 0.0000
Ir1 Ir 0.0000 0.0000 0.5000
```

Principal peaks in the range 15° ≤ 2θ ≤ 90°, in order of rising 2θ:
Position (°2θ)  d (Å)  I_rel
20.78  4.275  31
34.85  2.575  78
40.57  2.224  51
40.92  2.206  100
66.36  1.409  24
66.61  1.404  24

=====

No. 10
This entry pairs a crystal structure of Y3Hf7Ir4 with its computed powder X-ray diffraction pattern. Radiation: CuKα. Structure: a GGA-PBE-relaxed structure.

Atomic structure:
```
data_Y3Hf7Ir4
_chemical_formula_sum 'Y6 Hf14 Ir8'
_cell_length_a 16.742
_cell_length_b 4.482
_cell_length_c 10.105
_cell_angle_alpha 90.00
_cell_angle_beta 125.31
_cell_angle_gamma 90.00
_symmetry_space_group_name_H-M 'C 1 2/m 1'
_symmetry_Int_Tables_number 12
_symmetry_space_group_name_Hall '-C 2y'
loop_
_atom_site_label
_atom_site_type_symbol
_atom_site_fract_x
_atom_site_fract_y
_atom_site_fract_z
Y1 Y 0.000 0.000 0.000
Y2 Y 0.188 0.500 0.688
Hf1 Hf 0.000 0.000 0.500
Hf2 Hf 0.007 0.500 0.293
Hf3 Hf 0.163 0.000 0.424
Hf4 Hf 0.191 0.500 0.034
Ir1 Ir 0.112 0.000 0.844
Ir2 Ir 0.166 0.500 0.283
```

Principal peaks in the range 15° ≤ 2θ ≤ 90°, in order of rising 2θ:
Position (°2θ)  d (Å)  I_rel
17.56  5.050  63
21.67  4.100  44
32.84  2.727  94
33.54  2.672  100
40.24  2.241  88
42.22  2.140  49

=====

No. 11
This entry pairs a crystal structure of HfZn2Ir3 with its computed powder X-ray diffraction pattern. Radiation: CuKα. Structure: a GGA-PBE-relaxed structure.

Atomic structure:
```
data_HfZn2Ir3
_chemical_formula_sum 'Hf2 Zn4 Ir6'
_cell_length_a 4.439
_cell_length_b 6.167
_cell_length_c 6.990
_cell_angle_alpha 90.00
_cell_angle_beta 108.24
_cell_angle_gamma 90.00
_symmetry_space_group_name_H-M 'P 1 2/m 1'
_symmetry_Int_Tables_number 10
_symmetry_space_group_name_Hall '-P 2y'
loop_
_atom_site_label
_atom_site_type_symbol
_atom_site_fract_x
_atom_site_fract_y
_atom_site_fract_z
Hf1 Hf 0.161 0.000 0.322
Zn1 Zn 0.169 0.500 0.339
Zn2 Zn 0.500 0.000 0.000
Zn3 Zn 0.500 0.500 0.000
Ir1 Ir 0.000 0.266 0.000
Ir2 Ir 0.334 0.259 0.668
```

Principal peaks in the range 15° ≤ 2θ ≤ 90°, in order of rising 2θ:
Position (°2θ)  d (Å)  I_rel
40.65  2.219  26
40.77  2.213  26
41.07  2.198  100
58.79  1.571  9
74.15  1.279  9
74.34  1.276  17

=====

No. 12
This entry pairs a crystal structure of Hf7Zn2Ir2 with its computed powder X-ray diffraction pattern. Radiation: CuKα. Structure: a GGA-PBE-relaxed structure.

Atomic structure:
```
data_Hf7Zn2Ir2
_chemical_formula_sum 'Hf14 Zn4 Ir4'
_cell_length_a 7.493
_cell_length_b 9.822
_cell_length_c 6.540
_cell_angle_alpha 90.00
_cell_angle_beta 90.00
_cell_angle_gamma 90.00
_symmetry_space_group_name_H-M 'C m m m'
_symmetry_Int_Tables_number 65
_symmetry_space_group_name_Hall '-C 2 2'
loop_
_atom_site_label
_atom_site_type_symbol
_atom_site_fract_x
_atom_site_fract_y
_atom_site_fract_z
Hf1 Hf 0.000 0.000 0.000
Hf2 Hf 0.000 0.500 0.265
Hf3 Hf 0.250 0.250 0.266
Zn1 Zn 0.168 0.000 0.500
Ir1 Ir 0.000 0.283 0.000
```

Principal peaks in the range 15° ≤ 2θ ≤ 90°, in order of rising 2θ:
Position (°2θ)  d (Å)  I_rel
27.44  3.251  39
30.00  2.979  46
31.20  2.867  34
36.60  2.456  56
40.82  2.211  40
40.98  2.202  100